# 1
Simulated PXRD pattern of La2Ta2O9 for copper Kα, from a cell relaxed with GGA-PBE.
Lines closer than 0.1° are merged.

Most intense lines, 2θ = 10–80°, in order of falling intensity:
2θ (°)  Rel. int.
29.3  100
23.1  81
14.1  71
46.2  71
28.7  63
29.6  58
23.5  57
35.2  53
32.9  45
28.4  43

Atomic structure:
abc: 6.809 3.928 15.740
angles: 90.00 112.61 90.00
Space group P2_1/c (No. 14)
Symmetry-distinct sites (fractional):
La: 0.187 0.006 0.196 [4 per cell]
Ta: 0.196 0.004 0.462 [4 per cell]
O: 0.081 0.002 0.326 [4 per cell]
O: 0.156 0.001 0.580 [4 per cell]
O: 0.162 0.502 0.453 [4 per cell]
O: 0.438 0.508 0.279 [4 per cell]
O: 0.500 0.000 0.500 [2 per cell]

# 2
Simulated PXRD pattern of Li2Ga2GeS6 for copper Kα, from a cell relaxed with GGA-PBE.
Lines closer than 0.1° are merged.

Most intense lines, 2θ = 10–80°, in order of falling intensity:
2θ (°)  Rel. int.
15.2  100
31.0  49
24.3  30
27.8  29
25.5  21
16.3  21
33.6  20
18.7  18
43.7  17
15.4  16

Atomic structure:
abc: 12.333 23.038 6.888
angles: 90.00 90.00 90.00
Space group Fdd2 (No. 43)
Symmetry-distinct sites (fractional):
Li: 0.084 0.298 0.000 [16 per cell]
Ga: 0.115 0.385 0.444 [16 per cell]
Ge: 0.000 0.000 0.234 [8 per cell]
S: 0.053 0.074 0.422 [16 per cell]
S: 0.062 0.131 0.893 [16 per cell]
S: 0.100 0.228 0.308 [16 per cell]

# 3
Simulated PXRD pattern of SiBr2 for copper Kα, from a cell relaxed with GGA-PBE.
Lines closer than 0.1° are merged.

Most intense lines, 2θ = 10–80°, in order of falling intensity:
2θ (°)  Rel. int.
25.5  100
26.5  69
25.8  57
28.5  41
27.3  40
21.7  31
26.7  31
29.2  29
27.4  28
45.3  24

Atomic structure:
abc: 18.884 10.385 14.752
angles: 90.00 110.01 90.00
Space group C2/c (No. 15)
Symmetry-distinct sites (fractional):
Si: 0.127 0.205 0.491 [8 per cell]
Si: 0.155 0.398 0.422 [8 per cell]
Si: 0.217 0.039 0.504 [8 per cell]
Br: 0.014 0.130 0.400 [8 per cell]
Br: 0.079 0.444 0.937 [8 per cell]
Br: 0.126 0.255 0.638 [8 per cell]
Br: 0.136 0.367 0.266 [8 per cell]
Br: 0.195 0.125 0.089 [8 per cell]
Br: 0.200 0.022 0.853 [8 per cell]

# 4
Simulated PXRD pattern of NbCr3Ag2S8 for copper Kα, from a cell relaxed with GGA-PBE.
Lines closer than 0.1° are merged.

Most intense lines, 2θ = 10–80°, in order of falling intensity:
2θ (°)  Rel. int.
41.3  100
17.0  73
42.1  53
30.4  53
27.1  40
42.7  38
54.4  37
30.7  31
33.3  30
33.7  28

Atomic structure:
abc: 5.831 3.402 12.831
angles: 90.00 92.21 90.00
Space group Pm (No. 6)
Symmetry-distinct sites (fractional):
Nb: 0.000 0.000 0.000 [1 per cell]
Cr: 0.419 0.500 0.008 [1 per cell]
Cr: 0.507 0.500 0.500 [1 per cell]
Cr: 0.911 0.000 0.506 [1 per cell]
Ag: 0.465 0.500 0.747 [1 per cell]
Ag: 0.964 0.000 0.256 [1 per cell]
S: 0.116 0.500 0.876 [1 per cell]
S: 0.117 0.500 0.412 [1 per cell]
S: 0.300 0.000 0.592 [1 per cell]
S: 0.316 0.000 0.127 [1 per cell]
S: 0.600 0.000 0.907 [1 per cell]
S: 0.609 0.000 0.388 [1 per cell]
S: 0.782 0.500 0.105 [1 per cell]
S: 0.811 0.500 0.618 [1 per cell]